Diffraction record for Ni7Ge4. The powder diffraction line list is simulated, not measured: it uses a DFT-relaxed cell (GGA-PBE, the Materials Project) and copper Kα.

Peak list (10 most intense, 2θ from 10° to 90°, in order of rising 2θ)
2θ/deg  I/Imax
31.65  98
44.87  1000
45.73  348
45.92  665
66.03  189
66.23  97
83.97  98
84.20  96
84.33  84
84.74  104

```
Ni7Ge4
1.0
-1.984 5.001 3.419
1.984 -5.001 3.419
1.984 5.001 -3.419
Ni Ge
7 4
Direct
0.000 0.000 0.000
0.213 0.338 0.876
0.423 0.669 0.754
0.462 0.338 0.124
0.707 0.329 0.378
0.915 0.669 0.246
0.952 0.329 0.622
0.193 0.693 0.500
0.254 0.002 0.252
0.652 0.652 0.000
0.750 0.002 0.748
```

=====

Diffraction record for NaH2BrO5. The powder diffraction line list is simulated, not measured: it uses a DFT-relaxed cell (GGA-PBE, the Materials Project) and copper Kα.

Peak list (10 most intense, 2θ from 10° to 90°, in order of rising 2θ)
2θ/deg  I/Imax
14.78  359
16.69  947
21.34  481
22.03  491
22.17  289
22.94  1000
23.61  321
24.03  430
27.98  219
32.60  314

```
NaH2BrO5
1.0
8.540 -2.815 0.000
8.540 2.815 0.000
-4.386 0.000 11.985
Na H Br O
4 8 4 20
Direct
0.000 0.500 0.500
0.101 0.899 0.750
0.500 0.000 0.000
0.899 0.101 0.250
0.008 0.834 0.409
0.166 0.992 0.091
0.265 0.424 0.026
0.424 0.265 0.526
0.576 0.735 0.474
0.735 0.576 0.974
0.834 0.008 0.909
0.992 0.166 0.591
0.355 0.401 0.315
0.401 0.355 0.815
0.599 0.645 0.185
0.645 0.599 0.685
0.107 0.774 0.354
0.210 0.532 0.645
0.226 0.893 0.146
0.264 0.395 0.095
0.268 0.338 0.371
0.279 0.614 0.895
0.338 0.268 0.871
0.386 0.721 0.605
0.395 0.264 0.595
0.468 0.790 0.855
0.532 0.210 0.145
0.605 0.736 0.405
0.614 0.279 0.395
0.662 0.732 0.129
0.721 0.386 0.105
0.732 0.662 0.629
0.736 0.605 0.905
0.774 0.107 0.854
0.790 0.468 0.355
0.893 0.226 0.646
```

=====

Diffraction record for Ta4MoS10. The powder diffraction line list is simulated, not measured: it uses a DFT-relaxed cell (GGA-PBE, the Materials Project) and copper Kα.

Peak list (10 most intense, 2θ from 10° to 90°, in order of rising 2θ)
2θ/deg  I/Imax
13.86  1000
31.48  316
32.53  314
36.46  341
39.18  330
45.81  144
49.54  152
55.35  104
57.35  99
84.20  80

```
Ta4MoS10
1.0
13.990 -1.658 0.000
13.990 1.658 0.000
-1.196 0.000 6.566
Ta Mo S
4 1 10
Direct
0.000 0.000 0.000
0.205 0.205 0.409
0.397 0.397 0.795
0.599 0.599 0.198
0.800 0.800 0.599
0.050 0.050 0.348
0.083 0.083 0.919
0.252 0.252 0.752
0.285 0.285 0.322
0.449 0.449 0.142
0.482 0.482 0.719
0.651 0.651 0.543
0.684 0.684 0.126
0.848 0.848 0.942
0.881 0.881 0.517
```